Entry 1:
Structure and theoretical powder XRD pattern of WNCl6 (the GGA-PBE geometry in the Materials Project; Cu Kα).
Intensities are scaled so that the largest is 1000.

Structural model:
```
data_WNCl6
_chemical_formula_sum 'W4 N4 Cl24'
_cell_length_a 12.3680
_cell_length_b 6.5584
_cell_length_c 12.6493
_cell_angle_alpha 90.00
_cell_angle_beta 101.80
_cell_angle_gamma 90.00
_symmetry_space_group_name_H-M 'C 1 2/c 1'
_symmetry_Int_Tables_number 15
loop_
_symmetry_equiv_pos_as_xyz
'x,y,z'
'-x,-y,-z'
'-x,y,-z+1/2'
'x,-y,z+1/2'
'x+1/2,y+1/2,z'
'-x+1/2,-y+1/2,-z'
'-x+1/2,y+1/2,-z+1/2'
'x+1/2,-y+1/2,z+1/2'
loop_
_atom_site_label
_atom_site_type_symbol
_atom_site_fract_x
_atom_site_fract_y
_atom_site_fract_z
W1 W 0.2500 0.2500 0.0000
N1 N 0.0000 0.1191 0.2500
Cl1 Cl 0.0871 0.3797 0.9006
Cl2 Cl 0.1575 0.0369 0.5388
Cl3 Cl 0.2153 0.4065 0.1531
```

Peak list (8 most intense, 2θ from 15° to 90°, low angle first)
hkl, two_theta, d (Å), Rel. int.
1 1 -1, 16.3, 5.434, 1000
1 1 1, 17.6, 5.043, 687
2 0 -2, 18.3, 4.853, 276
1 1 -3, 25.3, 3.523, 227
3 1 -1, 25.7, 3.471, 167
3 1 -3, 30.8, 2.900, 193
2 2 -4, 40.6, 2.222, 190
3 1 -5, 41.0, 2.200, 341

=====

Entry 2:
Structure and theoretical powder XRD pattern of ThBO3 (the GGA-PBE geometry in the Materials Project; Cu Kα).
Intensities are scaled so that the largest is 1000.

Structural model:
```
data_ThBO3
_chemical_formula_sum 'Th1 B1 O3'
_cell_length_a 3.6821
_cell_length_b 3.6821
_cell_length_c 3.6821
_cell_angle_alpha 90.00
_cell_angle_beta 90.00
_cell_angle_gamma 90.00
_symmetry_space_group_name_H-M 'P m -3 m'
_symmetry_Int_Tables_number 221
_symmetry_space_group_name_Hall '-P 4 2 3'
loop_
_atom_site_label
_atom_site_type_symbol
_atom_site_fract_x
_atom_site_fract_y
_atom_site_fract_z
Th1 Th 0.0000 0.0000 0.0000
B1 B 0.5000 0.5000 0.5000
O1 O 0.0000 0.5000 0.5000
```

Peak list (8 most intense, 2θ from 15° to 90°, low angle first)
hkl, two_theta, d (Å), Rel. int.
1 0 0, 24.2, 3.682, 1000
1 1 0, 34.4, 2.604, 990
1 1 1, 42.5, 2.126, 560
2 0 0, 49.5, 1.841, 296
2 1 0, 55.8, 1.647, 462
2 1 1, 61.7, 1.503, 391
3 0 0, 77.8, 1.227, 229
3 1 1, 88.0, 1.110, 204

=====

Entry 3:
Structure and theoretical powder XRD pattern of KNbO2F (the GGA-PBE geometry in the Materials Project; Cu Kα).
Intensities are scaled so that the largest is 1000.

Structural model:
```
data_KNbO2F
_chemical_formula_sum 'K1 Nb1 O2 F1'
_cell_length_a 4.0473
_cell_length_b 4.0473
_cell_length_c 4.3400
_cell_angle_alpha 90.00
_cell_angle_beta 90.00
_cell_angle_gamma 90.00
_symmetry_space_group_name_H-M 'P 4/m m m'
_symmetry_Int_Tables_number 123
_symmetry_space_group_name_Hall '-P 4 2'
loop_
_atom_site_label
_atom_site_type_symbol
_atom_site_fract_x
_atom_site_fract_y
_atom_site_fract_z
K1 K 0.0000 0.0000 0.0000
Nb1 Nb 0.5000 0.5000 0.5000
O1 O 0.0000 0.5000 0.5000
F1 F 0.5000 0.5000 0.0000
```

Peak list (8 most intense, 2θ from 15° to 90°, low angle first)
hkl, two_theta, d (Å), Rel. int.
0 0 1, 20.5, 4.340, 236
1 0 0, 22.0, 4.047, 463
1 0 1, 30.2, 2.960, 1000
1 1 0, 31.3, 2.862, 504
0 0 2, 41.6, 2.170, 260
2 0 0, 44.8, 2.024, 412
2 1 1, 55.0, 1.671, 352
2 0 2, 62.8, 1.480, 266

=====

Entry 4:
Structure and theoretical powder XRD pattern of GdErCo4 (the GGA-PBE geometry in the Materials Project; Cu Kα).
Intensities are scaled so that the largest is 1000.

Structural model:
```
data_GdErCo4
_chemical_formula_sum 'Gd4 Er4 Co16'
_cell_length_a 7.1279
_cell_length_b 7.1279
_cell_length_c 7.1279
_cell_angle_alpha 90.00
_cell_angle_beta 90.00
_cell_angle_gamma 90.00
_symmetry_space_group_name_H-M 'F -4 3 m'
_symmetry_Int_Tables_number 216
_symmetry_space_group_name_Hall 'F -4 2 3'
loop_
_atom_site_label
_atom_site_type_symbol
_atom_site_fract_x
_atom_site_fract_y
_atom_site_fract_z
Gd1 Gd 0.0000 0.0000 0.0000
Er1 Er 0.2500 0.2500 0.2500
Co1 Co 0.1250 0.1250 0.6250
```

Peak list (8 most intense, 2θ from 15° to 90°, low angle first)
hkl, two_theta, d (Å), Rel. int.
1 1 1, 21.6, 4.115, 151
2 2 0, 35.6, 2.520, 663
3 1 1, 42.0, 2.149, 1000
2 2 2, 44.0, 2.058, 144
4 2 2, 64.0, 1.455, 243
5 1 1, 68.4, 1.372, 303
4 4 0, 75.4, 1.260, 221
6 2 0, 86.3, 1.127, 109

=====

Entry 5:
Structure and theoretical powder XRD pattern of Ce2Sb (the GGA-PBE geometry in the Materials Project; Cu Kα).
Intensities are scaled so that the largest is 1000.

Structural model:
```
data_Ce2Sb
_chemical_formula_sum 'Ce8 Sb4'
_cell_length_a 4.4581
_cell_length_b 4.4581
_cell_length_c 17.3701
_cell_angle_alpha 90.00
_cell_angle_beta 90.00
_cell_angle_gamma 90.00
_symmetry_space_group_name_H-M 'I 4/m m m'
_symmetry_Int_Tables_number 139
_symmetry_space_group_name_Hall '-I 4 2'
loop_
_atom_site_label
_atom_site_type_symbol
_atom_site_fract_x
_atom_site_fract_y
_atom_site_fract_z
Ce1 Ce 0.0000 0.0000 0.1747
Ce2 Ce 0.0000 0.5000 0.0000
Sb1 Sb 0.0000 0.0000 0.3613
```

Peak list (8 most intense, 2θ from 15° to 90°, low angle first)
hkl, two_theta, d (Å), Rel. int.
1 1 2, 30.2, 2.963, 996
0 0 6, 30.9, 2.895, 442
1 0 5, 32.7, 2.740, 269
1 1 4, 35.2, 2.551, 1000
2 0 0, 40.5, 2.229, 613
2 0 6, 51.8, 1.766, 413
2 2 0, 58.6, 1.576, 205
3 1 4, 70.2, 1.341, 262